The following is a calculated powder XRD pattern of NiSnB4. It was derived from a PBE-relaxed structure, using copper Kα.
Intensities are scaled so that the largest is 100.

Largest 10 diffraction maxima, by angle, 2θ from 15° to 90°:
hkl  Position (°2θ)  d/Å  intensity
0 0 2  22.06  4.029  57
1 0 0  34.20  2.622  63
1 0 1  36.03  2.493  15
1 0 2  41.08  2.197  100
1 0 4  57.71  1.597  34
1 1 0  61.24  1.514  18
1 1 2  65.93  1.417  19
2 0 2  76.41  1.246  16
1 1 4  79.15  1.210  13
1 0 6  80.32  1.195  11

Structure:
a = 3.0271 Å, b = 3.0271 Å, c = 8.0586 Å
α = 90.00°, β = 90.00°, γ = 120.00°
Space group P6/mmm (No. 191)
One atom of each set of equivalent atoms:
Ni1 0.0000 0.0000 0.0000
Sn1 0.0000 0.0000 0.5000
B1 0.3333 0.6667 0.1795

***

The following is a calculated powder XRD pattern of In2CoSb. It was derived from a PBE-relaxed structure, using copper Kα.
Intensities are scaled so that the largest is 100.

Largest 10 diffraction maxima, by angle, 2θ from 15° to 90°:
hkl  Position (°2θ)  d/Å  intensity
1 1 1  22.07  4.028  4
2 0 0  25.53  3.488  2
2 2 0  36.42  2.467  100
3 1 1  43.00  2.104  2
4 0 0  52.46  1.744  17
3 3 1  57.58  1.601  1
4 2 0  59.23  1.560  1
4 2 2  65.55  1.424  34
4 4 0  77.37  1.233  10
6 2 0  88.67  1.103  15

Structure:
a = 6.977 Å, b = 6.977 Å, c = 6.977 Å
α = 90.00°, β = 90.00°, γ = 90.00°
Space group F-43m (No. 216)
One atom of each set of equivalent atoms:
In1 0.000 0.000 0.000
In2 0.250 0.250 0.250
Co1 0.250 0.250 0.750
Sb1 0.000 0.000 0.500